Record 1
Structure and computed PXRD pattern of Pm6Sm12In (a PBE-relaxed structure; Cu Kα (weighted mean of Kα1 and Kα2)).

The 6 most intense peaks (10 to 90 degrees two-theta), low angle first:
index, d [Å], I_rel
1 0 4, 3.141, 36
0 3 3, 2.864, 99
3 1 2, 2.847, 62
4 0 1, 2.785, 100
0 4 2, 2.613, 25
3 0 6, 1.890, 29

Cell and atoms:
```
data_Pm6Sm12In
_chemical_formula_sum 'Pm18 Sm36 In3'
_cell_length_a 13.1656
_cell_length_b 13.1656
_cell_length_c 13.0708
_cell_angle_alpha 90.00
_cell_angle_beta 90.00
_cell_angle_gamma 120.00
_symmetry_space_group_name_H-M 'R -3'
_symmetry_Int_Tables_number 148
_symmetry_space_group_name_Hall '-R 3'
loop_
_atom_site_label
_atom_site_type_symbol
_atom_site_fract_x
_atom_site_fract_y
_atom_site_fract_z
_atom_site_occupancy
Pm1 Pm 0.0903 0.1813 0.2754 1
Sm1 Sm 0.0003 0.2597 0.5002 1
Sm2 Sm 0.0602 0.5302 0.6110 1
In1 In 0.0000 0.0000 0.5000 1
```

***

Record 2
Structure and computed PXRD pattern of Pm4Sm3In4 (a PBE-relaxed structure; Cu Kα (weighted mean of Kα1 and Kα2)).

The 6 most intense peaks (10 to 90 degrees two-theta), low angle first:
index, d [Å], I_rel
0 0 6, 3.224, 47
1 2 1, 2.899, 100
0 3 3, 2.853, 80
1 1 4, 2.817, 87
1 0 5, 2.682, 40
0 2 6, 2.674, 50

Cell and atoms:
```
data_Pm4Sm3In4
_chemical_formula_sum 'Pm8 Sm6 In8'
_cell_length_a 3.717
_cell_length_b 9.540
_cell_length_c 19.373
_cell_angle_alpha 90.00
_cell_angle_beta 90.00
_cell_angle_gamma 90.00
_symmetry_space_group_name_H-M 'I m m m'
_symmetry_Int_Tables_number 71
_symmetry_space_group_name_Hall '-I 2 2'
loop_
_atom_site_label
_atom_site_type_symbol
_atom_site_fract_x
_atom_site_fract_y
_atom_site_fract_z
_atom_site_occupancy
Pm1 Pm 0.000 0.180 0.163 1
Sm1 Sm 0.000 0.000 0.405 1
Sm2 Sm 0.000 0.500 0.500 1
In1 In 0.000 0.280 0.000 1
In2 In 0.000 0.500 0.228 1
```

***

Record 3
Structure and computed PXRD pattern of Pm4Sm3In2 (a PBE-relaxed structure; Cu Kα (weighted mean of Kα1 and Kα2)).

The 6 most intense peaks (10 to 90 degrees two-theta), low angle first:
index, d [Å], I_rel
1 1 -3, 2.863, 100
4 0 -3, 2.515, 17
2 0 3, 2.499, 17
0 2 0, 2.428, 16
1 1 6, 1.504, 14
1 3 -3, 1.472, 13

Cell and atoms:
```
data_Pm4Sm3In2
_chemical_formula_sum 'Pm8 Sm6 In4'
_cell_length_a 11.227
_cell_length_b 4.856
_cell_length_c 10.645
_cell_angle_alpha 90.00
_cell_angle_beta 108.81
_cell_angle_gamma 90.00
_symmetry_space_group_name_H-M 'C 1 2/m 1'
_symmetry_Int_Tables_number 12
_symmetry_space_group_name_Hall '-C 2y'
loop_
_atom_site_label
_atom_site_type_symbol
_atom_site_fract_x
_atom_site_fract_y
_atom_site_fract_z
_atom_site_occupancy
Pm1 Pm 0.008 0.000 0.175 1
Pm2 Pm 0.170 0.500 0.389 1
Sm1 Sm 0.000 0.000 0.500 1
Sm2 Sm 0.172 0.500 0.054 1
In1 In 0.162 0.500 0.718 1
```

***

Record 4
Structure and computed PXRD pattern of Pm2SmIn (a PBE-relaxed structure; Cu Kα (weighted mean of Kα1 and Kα2)).

The 6 most intense peaks (10 to 90 degrees two-theta), low angle first:
index, d [Å], I_rel
1 1 1, 2.858, 100
2 0 0, 2.475, 50
2 2 0, 1.750, 35
1 1 3, 1.494, 14
3 1 1, 1.492, 28
2 2 2, 1.429, 12

Cell and atoms:
```
data_Pm2SmIn
_chemical_formula_sum 'Pm2 Sm1 In1'
_cell_length_a 4.947
_cell_length_b 4.947
_cell_length_c 4.959
_cell_angle_alpha 90.00
_cell_angle_beta 90.00
_cell_angle_gamma 90.00
_symmetry_space_group_name_H-M 'P 4/m m m'
_symmetry_Int_Tables_number 123
_symmetry_space_group_name_Hall '-P 4 2'
loop_
_atom_site_label
_atom_site_type_symbol
_atom_site_fract_x
_atom_site_fract_y
_atom_site_fract_z
_atom_site_occupancy
Pm1 Pm 0.000 0.500 0.000 1
Sm1 Sm 0.000 0.000 0.500 1
In1 In 0.500 0.500 0.500 1
```

***

Record 5
Structure and computed PXRD pattern of Pm4Sm2In (a PBE-relaxed structure; Cu Kα (weighted mean of Kα1 and Kα2)).

The 6 most intense peaks (10 to 90 degrees two-theta), low angle first:
index, d [Å], I_rel
2 1 0, 3.078, 54
1 3 -1, 2.865, 63
0 2 2, 2.823, 100
2 1 -1, 2.787, 94
1 2 2, 2.581, 63
1 4 0, 2.527, 42

Cell and atoms:
```
data_Pm4Sm2In
_chemical_formula_sum 'Pm8 Sm4 In2'
_cell_length_a 6.412
_cell_length_b 10.997
_cell_length_c 6.574
_cell_angle_alpha 90.00
_cell_angle_beta 90.14
_cell_angle_gamma 90.00
_symmetry_space_group_name_H-M 'P 1 21/c 1'
_symmetry_Int_Tables_number 14
_symmetry_space_group_name_Hall '-P 2ybc'
loop_
_atom_site_label
_atom_site_type_symbol
_atom_site_fract_x
_atom_site_fract_y
_atom_site_fract_z
_atom_site_occupancy
Pm1 Pm 0.072 0.154 0.034 1
Pm2 Pm 0.401 0.739 0.763 1
Sm1 Sm 0.248 0.035 0.540 1
In1 In 0.500 0.000 0.000 1
```

***

Record 6
Structure and computed PXRD pattern of Pm4Sm5In4 (a PBE-relaxed structure; Cu Kα (weighted mean of Kα1 and Kα2)).

The 6 most intense peaks (10 to 90 degrees two-theta), low angle first:
index, d [Å], I_rel
3 2 1, 2.877, 100
0 0 2, 2.615, 36
1 5 0, 2.436, 18
1 5 2, 1.783, 14
7 2 1, 1.622, 12
3 2 3, 1.557, 16

Cell and atoms:
```
data_Pm4Sm5In4
_chemical_formula_sum 'Pm8 Sm10 In8'
_cell_length_a 12.419
_cell_length_b 12.419
_cell_length_c 5.235
_cell_angle_alpha 90.00
_cell_angle_beta 90.00
_cell_angle_gamma 90.00
_symmetry_space_group_name_H-M 'I 4/m'
_symmetry_Int_Tables_number 87
_symmetry_space_group_name_Hall '-I 4'
loop_
_atom_site_label
_atom_site_type_symbol
_atom_site_fract_x
_atom_site_fract_y
_atom_site_fract_z
_atom_site_occupancy
Pm1 Pm 0.097 0.384 0.000 1
Sm1 Sm 0.000 0.000 0.000 1
Sm2 Sm 0.096 0.187 0.500 1
In1 In 0.112 0.768 0.000 1
```

***

Record 7
Structure and computed PXRD pattern of Tb2Pm3Sm6In (a PBE-relaxed structure; Cu Kα (weighted mean of Kα1 and Kα2)).

The 6 most intense peaks (10 to 90 degrees two-theta), low angle first:
index, d [Å], I_rel
1 3 1, 2.928, 100
0 0 4, 2.911, 33
1 3 -3, 2.535, 45
2 0 2, 2.526, 22
2 0 -6, 1.787, 23
4 0 0, 1.529, 24

Cell and atoms:
```
data_Tb2Pm3Sm6In
_chemical_formula_sum 'Tb4 Pm6 Sm12 In2'
_cell_length_a 6.207
_cell_length_b 10.784
_cell_length_c 11.832
_cell_angle_alpha 90.00
_cell_angle_beta 100.25
_cell_angle_gamma 90.00
_symmetry_space_group_name_H-M 'C 1 2/m 1'
_symmetry_Int_Tables_number 12
_symmetry_space_group_name_Hall '-C 2y'
loop_
_atom_site_label
_atom_site_type_symbol
_atom_site_fract_x
_atom_site_fract_y
_atom_site_fract_z
_atom_site_occupancy
Tb1 Tb 0.000 0.166 0.000 1
Pm1 Pm 0.000 0.000 0.500 1
Pm2 Pm 0.000 0.332 0.500 1
Sm1 Sm 0.244 0.337 0.244 1
Sm2 Sm 0.246 0.500 0.754 1
In1 In 0.000 0.500 0.000 1
```

***

Record 8
Structure and computed PXRD pattern of Pm7InSn4 (a PBE-relaxed structure; Cu Kα (weighted mean of Kα1 and Kα2)).

The 6 most intense peaks (10 to 90 degrees two-theta), low angle first:
index, d [Å], I_rel
4 0 -3, 3.099, 92
0 2 0, 2.956, 93
3 1 1, 2.779, 100
5 1 -1, 2.668, 26
4 2 -3, 2.139, 66
1 1 -4, 2.069, 73

Cell and atoms:
```
data_Pm7InSn4
_chemical_formula_sum 'Pm14 In2 Sn8'
_cell_length_a 15.572
_cell_length_b 5.913
_cell_length_c 9.822
_cell_angle_alpha 90.00
_cell_angle_beta 123.96
_cell_angle_gamma 90.00
_symmetry_space_group_name_H-M 'C 1 2/m 1'
_symmetry_Int_Tables_number 12
_symmetry_space_group_name_Hall '-C 2y'
loop_
_atom_site_label
_atom_site_type_symbol
_atom_site_fract_x
_atom_site_fract_y
_atom_site_fract_z
_atom_site_occupancy
Pm1 Pm 0.000 0.000 0.000 1
Pm2 Pm 0.050 0.500 0.361 1
Pm3 Pm 0.183 0.500 0.935 1
Pm4 Pm 0.184 0.000 0.578 1
In1 In 0.000 0.500 0.000 1
Sn1 Sn 0.070 0.000 0.758 1
Sn2 Sn 0.232 0.000 0.298 1
```

***

Record 9
Structure and computed PXRD pattern of Pm3In3Sn4 (a PBE-relaxed structure; Cu Kα (weighted mean of Kα1 and Kα2)).

The 6 most intense peaks (10 to 90 degrees two-theta), low angle first:
index, d [Å], I_rel
1 2 2, 2.987, 38
1 3 1, 2.859, 100
1 1 3, 2.730, 83
0 4 2, 2.555, 31
0 2 4, 2.419, 33
2 0 0, 2.300, 37

Cell and atoms:
```
data_Pm3In3Sn4
_chemical_formula_sum 'Pm6 In6 Sn8'
_cell_length_a 4.601
_cell_length_b 11.655
_cell_length_c 10.637
_cell_angle_alpha 90.00
_cell_angle_beta 90.00
_cell_angle_gamma 90.00
_symmetry_space_group_name_H-M 'A m m 2'
_symmetry_Int_Tables_number 38
_symmetry_space_group_name_Hall 'A 2 -2'
loop_
_atom_site_label
_atom_site_type_symbol
_atom_site_fract_x
_atom_site_fract_y
_atom_site_fract_z
_atom_site_occupancy
Pm1 Pm 0.000 0.000 0.000 1
Pm2 Pm 0.000 0.173 0.350 1
In1 In 0.000 0.000 0.674 1
In2 In 0.500 0.242 0.094 1
Sn1 Sn 0.500 0.000 0.210 1
Sn2 Sn 0.500 0.000 0.484 1
Sn3 Sn 0.500 0.133 0.844 1
```

***

Record 10
Structure and computed PXRD pattern of Tb5Pm4In (a PBE-relaxed structure; Cu Kα (weighted mean of Kα1 and Kα2)).

The 6 most intense peaks (10 to 90 degrees two-theta), low angle first:
index, d [Å], I_rel
3 0 1, 3.052, 100
0 0 2, 2.935, 15
2 0 2, 2.574, 17
3 3 0, 2.526, 40
3 0 3, 1.716, 16
6 3 1, 1.542, 17

Cell and atoms:
```
data_Tb5Pm4In
_chemical_formula_sum 'Tb10 Pm8 In2'
_cell_length_a 10.719
_cell_length_b 10.719
_cell_length_c 5.870
_cell_angle_alpha 90.00
_cell_angle_beta 90.00
_cell_angle_gamma 90.00
_symmetry_space_group_name_H-M 'I 4 m m'
_symmetry_Int_Tables_number 107
_symmetry_space_group_name_Hall 'I 4 -2'
loop_
_atom_site_label
_atom_site_type_symbol
_atom_site_fract_x
_atom_site_fract_y
_atom_site_fract_z
_atom_site_occupancy
Tb1 Tb 0.000 0.000 0.000 1
Tb2 Tb 0.185 0.185 0.288 1
Pm1 Pm 0.000 0.312 0.793 1
In1 In 0.000 0.000 0.517 1
```

***

Record 11
Structure and computed PXRD pattern of TbPm3In3 (a PBE-relaxed structure; Cu Kα (weighted mean of Kα1 and Kα2)).

The 6 most intense peaks (10 to 90 degrees two-theta), low angle first:
index, d [Å], I_rel
3 0 1, 3.002, 100
3 1 2, 2.537, 73
4 2 2, 1.937, 20
4 3 1, 1.861, 22
6 1 1, 1.540, 26
5 4 1, 1.465, 15

Cell and atoms:
```
data_TbPm3In3
_chemical_formula_sum 'Tb4 Pm12 In12'
_cell_length_a 9.492
_cell_length_b 9.492
_cell_length_c 9.492
_cell_angle_alpha 90.00
_cell_angle_beta 90.00
_cell_angle_gamma 90.00
_symmetry_space_group_name_H-M 'P 21 3'
_symmetry_Int_Tables_number 198
_symmetry_space_group_name_Hall 'P 2ac 2ab 3'
loop_
_atom_site_label
_atom_site_type_symbol
_atom_site_fract_x
_atom_site_fract_y
_atom_site_fract_z
_atom_site_occupancy
Tb1 Tb 0.076 0.424 0.576 1
Pm1 Pm 0.071 0.571 0.929 1
Pm2 Pm 0.173 0.173 0.173 1
Pm3 Pm 0.175 0.825 0.325 1
In1 In 0.002 0.746 0.630 1
```

***

Record 12
Structure and computed PXRD pattern of Tb5Pm8In (a PBE-relaxed structure; Cu Kα (weighted mean of Kα1 and Kα2)).

The 6 most intense peaks (10 to 90 degrees two-theta), low angle first:
index, d [Å], I_rel
1 1 2, 2.911, 100
2 2 1, 2.882, 42
5 1 -1, 2.867, 73
4 2 -1, 2.845, 71
4 0 -3, 2.754, 55
1 3 0, 2.745, 74

Cell and atoms:
```
data_Tb5Pm8In
_chemical_formula_sum 'Tb10 Pm16 In2'
_cell_length_a 15.510
_cell_length_b 8.421
_cell_length_c 8.502
_cell_angle_alpha 90.00
_cell_angle_beta 121.63
_cell_angle_gamma 90.00
_symmetry_space_group_name_H-M 'C 1 2 1'
_symmetry_Int_Tables_number 5
_symmetry_space_group_name_Hall 'C 2y'
loop_
_atom_site_label
_atom_site_type_symbol
_atom_site_fract_x
_atom_site_fract_y
_atom_site_fract_z
_atom_site_occupancy
Tb1 Tb 0.000 0.000 0.000 1
Tb2 Tb 0.048 0.342 0.273 1
Tb3 Tb 0.099 0.672 0.953 1
Pm1 Pm 0.123 0.044 0.680 1
Pm2 Pm 0.176 0.450 0.720 1
Pm3 Pm 0.182 0.747 0.417 1
Pm4 Pm 0.185 0.271 0.071 1
In1 In 0.000 0.704 0.500 1
```

***

Record 13
Structure and computed PXRD pattern of Tb4Pm3In (a PBE-relaxed structure; Cu Kα (weighted mean of Kα1 and Kα2)).

The 6 most intense peaks (10 to 90 degrees two-theta), low angle first:
index, d [Å], I_rel
0 2 1, 3.095, 24
4 0 0, 2.830, 36
2 0 2, 2.733, 50
2 2 1, 2.715, 100
6 2 1, 1.611, 19
4 2 3, 1.517, 21

Cell and atoms:
```
data_Tb4Pm3In
_chemical_formula_sum 'Tb8 Pm6 In2'
_cell_length_a 11.319
_cell_length_b 7.127
_cell_length_c 6.241
_cell_angle_alpha 90.00
_cell_angle_beta 90.00
_cell_angle_gamma 90.00
_symmetry_space_group_name_H-M 'P m n 21'
_symmetry_Int_Tables_number 31
_symmetry_space_group_name_Hall 'P 2ac -2'
loop_
_atom_site_label
_atom_site_type_symbol
_atom_site_fract_x
_atom_site_fract_y
_atom_site_fract_z
_atom_site_occupancy
Tb1 Tb 0.000 0.123 0.000 1
Tb2 Tb 0.000 0.870 0.474 1
Tb3 Tb 0.238 0.874 0.823 1
Pm1 Pm 0.000 0.372 0.463 1
Pm2 Pm 0.240 0.384 0.804 1
In1 In 0.000 0.632 0.983 1
```